Starting from a crystal structure in Alexandria, relaxed with GGA+U, the PXRD pattern of V2P4PbO14 was simulated for a wavelength of 1.5418 Å.
Neutral-atom scattering factors, no anomalous dispersion.

Principal peaks in the range 2θ = 5–70°, in order of rising 2θ:
two_theta  I/Imax  (hkl)
10.94  100  0 0 1
18.85  60  1 0 0
23.06  85  1 1 -1
25.50  76  0 1 -2
25.59  50  1 -1 0
27.51  88  1 -1 1
28.04  55  0 2 1
28.98  89  1 1 2
30.40  51  1 1 -2
34.09  44  0 2 2

Crystal structure
Lattice parameters (Å, degrees): 4.8974 7.1976 8.0983 89.31 87.03 74.29
Space group P-1 (No. 2)
Asymmetric unit:
V  0.0000  0.0000  0.0000 [1 per cell]
V  0.5000  0.5000  0.5000 [1 per cell]
P  0.0154  0.3888  0.7505 [2 per cell]
P  0.3846  0.2232  0.2075 [2 per cell]
Pb  0.0000  0.0000  0.5000 [1 per cell]
O  0.0790  0.2145  0.8614 [2 per cell]
O  0.1368  0.6527  0.4040 [2 per cell]
O  0.1813  0.0920  0.2089 [2 per cell]
O  0.2083  0.4378  0.1521 [2 per cell]
O  0.2792  0.4531  0.7014 [2 per cell]
O  0.3761  0.8320  0.9228 [2 per cell]
O  0.4776  0.2374  0.3867 [2 per cell]